This entry pairs a crystal structure of Rb6Ti2O7 with its simulated powder XRD pattern. Radiation: Cu Kα (λ = 1.5418 Å). Structure: a GGA-PBE-relaxed structure.
No peak broadening, texture or thermal motion is included.

Principal peaks in the range 10 to 90 degrees two-theta, in order of rising 2θ:
2θ = 10.29°, intensity 49.7
2θ = 25.33°, intensity 100.0
2θ = 27.43°, intensity 27.2
2θ = 31.20°, intensity 48.1
2θ = 36.07°, intensity 18.3
2θ = 40.59°, intensity 38.4
2θ = 45.94°, intensity 17.6
2θ = 48.42°, intensity 19.3
2θ = 52.06°, intensity 17.1
2θ = 59.85°, intensity 13.2

Structure:
```
Rb6Ti2O7
1.0
9.930 0.000 0.000
-4.965 8.600 0.000
0.000 0.000 9.962
Rb Ti O
12 4 14
Cartesian
-1.511 3.117 3.724 Rb
-1.555 3.331 8.694 Rb
-1.510 8.350 3.724 Rb
-1.303 8.280 8.694 Rb
1.944 2.867 6.238 Rb
2.108 3.012 1.268 Rb
2.857 5.588 8.694 Rb
3.021 5.733 3.724 Rb
6.268 0.319 1.268 Rb
6.475 0.250 6.238 Rb
6.520 5.268 1.268 Rb
6.476 5.483 6.238 Rb
0.000 5.733 1.798 Ti
0.000 5.733 5.642 Ti
4.965 2.867 4.320 Ti
4.965 2.867 8.164 Ti
-0.637 4.116 1.246 O
-0.626 4.110 6.193 O
-1.093 7.086 6.193 O
-1.083 7.093 1.246 O
0.000 5.733 3.716 O
3.247 2.597 3.768 O
3.246 2.609 8.716 O
1.719 5.991 1.246 O
1.718 6.003 6.193 O
4.965 2.867 6.246 O
6.048 1.507 8.716 O
6.058 1.513 3.768 O
5.591 4.490 3.768 O
5.602 4.484 8.716 O
```

This entry pairs a crystal structure of Rb2TiO3 with its simulated powder XRD pattern. Radiation: Cu Kα (λ = 1.5418 Å). Structure: a GGA-PBE-relaxed structure.
No peak broadening, texture or thermal motion is included.

Principal peaks in the range 10 to 90 degrees two-theta, in order of rising 2θ:
2θ = 25.64°, intensity 28.6
2θ = 26.34°, intensity 27.1
2θ = 27.29°, intensity 38.3
2θ = 29.32°, intensity 73.2
2θ = 29.63°, intensity 100.0
2θ = 30.22°, intensity 28.2
2θ = 31.12°, intensity 31.3
2θ = 36.34°, intensity 32.8
2θ = 39.82°, intensity 27.5
2θ = 47.36°, intensity 26.4

Structure:
```
Rb2TiO3
1.0
3.046 -6.063 0.000
3.046 6.063 0.000
0.000 0.000 13.536
Rb Ti O
8 4 12
Cartesian
3.046 5.363 11.683 Rb
3.046 4.453 5.774 Rb
3.046 1.610 12.542 Rb
3.046 0.700 4.915 Rb
3.046 -0.700 8.621 Rb
3.046 -1.610 0.994 Rb
3.046 -4.453 7.762 Rb
3.046 -5.363 1.853 Rb
3.046 3.094 9.078 Ti
3.046 2.970 2.310 Ti
3.046 -2.970 11.226 Ti
3.046 -3.094 4.458 Ti
1.523 2.729 10.152 O
3.046 4.821 8.620 O
3.046 4.027 0.872 O
3.046 2.036 7.640 O
3.046 1.242 1.852 O
1.523 -2.729 3.384 O
4.568 2.729 10.152 O
3.046 -1.242 11.684 O
3.046 -2.036 5.896 O
3.046 -4.027 12.664 O
3.046 -4.821 4.916 O
4.568 -2.729 3.384 O
```

This entry pairs a crystal structure of Rb4TiO4 with its simulated powder XRD pattern. Radiation: Cu Kα (λ = 1.5418 Å). Structure: a GGA-PBE-relaxed structure.
No peak broadening, texture or thermal motion is included.

Principal peaks in the range 10 to 90 degrees two-theta, in order of rising 2θ:
2θ = 27.93°, intensity 59.9
2θ = 28.32°, intensity 55.6
2θ = 28.86°, intensity 100.0
2θ = 31.64°, intensity 48.0
2θ = 32.47°, intensity 47.6
2θ = 34.71°, intensity 16.7
2θ = 34.85°, intensity 31.9
2θ = 46.21°, intensity 16.7
2θ = 48.08°, intensity 16.2
2θ = 54.59°, intensity 13.0

Structure:
```
Rb4TiO4
1.0
6.758 0.000 0.000
2.705 6.201 0.000
1.840 2.633 9.587
Rb Ti O
8 2 8
Cartesian
2.952 3.207 1.148 Rb
3.309 3.029 5.085 Rb
4.805 6.502 3.253 Rb
3.615 2.535 9.002 Rb
7.689 6.300 0.585 Rb
6.499 2.333 6.334 Rb
7.995 5.806 4.503 Rb
8.352 5.627 8.439 Rb
4.995 6.049 7.169 Ti
6.309 2.785 2.418 Ti
4.102 7.207 8.315 O
3.832 5.683 5.780 O
5.500 4.527 8.104 O
6.532 6.937 6.622 O
4.771 1.898 2.965 O
5.804 4.308 1.483 O
7.472 3.151 3.807 O
7.202 1.628 1.273 O
```

This entry pairs a crystal structure of Rb2Ti4O9 with its simulated powder XRD pattern. Radiation: Cu Kα (λ = 1.5418 Å). Structure: a GGA-PBE-relaxed structure.
No peak broadening, texture or thermal motion is included.

Principal peaks in the range 10 to 90 degrees two-theta, in order of rising 2θ:
2θ = 22.09°, intensity 34.9
2θ = 27.38°, intensity 95.3
2θ = 29.55°, intensity 100.0
2θ = 30.61°, intensity 55.7
2θ = 31.32°, intensity 35.5
2θ = 31.88°, intensity 39.8
2θ = 33.11°, intensity 72.3
2θ = 39.02°, intensity 36.1
2θ = 42.49°, intensity 46.0
2θ = 47.52°, intensity 59.3

Structure:
```
Rb2Ti4O9
1.0
9.712 -1.913 0.000
9.712 1.913 0.000
-3.477 0.000 11.684
Rb Ti O
4 8 18
Cartesian
-0.825 0.000 3.891 Rb
1.332 0.000 1.014 Rb
14.615 0.000 10.670 Rb
16.772 0.000 7.793 Rb
2.029 0.000 9.733 Ti
3.638 0.000 7.035 Ti
5.197 0.000 4.373 Ti
6.744 0.000 1.596 Ti
9.203 0.000 10.088 Ti
10.750 0.000 7.311 Ti
12.309 0.000 4.649 Ti
13.918 0.000 1.951 Ti
0.033 0.000 10.033 O
1.538 0.000 7.497 O
3.007 0.000 4.926 O
4.495 0.000 2.330 O
2.739 0.000 11.351 O
3.850 0.000 8.825 O
5.363 0.000 6.271 O
6.838 0.000 3.699 O
8.471 0.000 1.412 O
7.476 0.000 10.272 O
9.109 0.000 7.985 O
10.584 0.000 5.413 O
12.097 0.000 2.860 O
13.208 0.000 0.333 O
11.453 0.000 9.354 O
12.940 0.000 6.758 O
14.409 0.000 4.187 O
15.914 0.000 1.651 O
```

This entry pairs a crystal structure of Rb6Ti2O7 with its simulated powder XRD pattern. Radiation: Cu Kα (λ = 1.5418 Å). Structure: a GGA-PBE-relaxed structure.
No peak broadening, texture or thermal motion is included.

Principal peaks in the range 10 to 90 degrees two-theta, in order of rising 2θ:
2θ = 25.68°, intensity 68.4
2θ = 27.39°, intensity 81.5
2θ = 28.52°, intensity 72.7
2θ = 28.91°, intensity 100.0
2θ = 29.16°, intensity 75.4
2θ = 29.57°, intensity 81.6
2θ = 31.96°, intensity 91.6
2θ = 32.26°, intensity 37.4
2θ = 32.73°, intensity 38.6
2θ = 35.23°, intensity 73.2

Structure:
```
Rb6Ti2O7
1.0
6.915 0.000 0.000
0.000 9.756 0.000
-6.495 0.000 9.872
Rb Ti O
12 4 14
Cartesian
-2.484 1.450 4.134 Rb
-5.732 3.428 9.070 Rb
-1.524 5.134 4.478 Rb
-4.772 9.500 9.413 Rb
0.926 2.103 2.745 Rb
-2.321 2.775 7.680 Rb
2.742 6.981 2.191 Rb
-0.506 7.653 7.127 Rb
5.192 0.256 0.458 Rb
1.945 4.622 5.394 Rb
6.152 6.327 0.802 Rb
2.905 8.306 5.738 Rb
-3.440 6.226 8.599 Ti
-0.192 8.408 3.663 Ti
0.612 1.348 6.209 Ti
3.860 3.530 1.273 Ti
-5.249 6.497 8.565 O
-2.001 8.137 3.629 O
-2.828 5.752 6.950 O
0.420 8.881 2.014 O
2.982 2.038 0.706 O
-0.265 2.840 5.642 O
0.210 0.000 4.936 O
3.458 4.878 0.000 O
0.686 6.916 4.230 O
-2.562 7.718 9.165 O
0.001 0.875 7.857 O
3.248 4.003 2.922 O
2.422 1.619 6.243 O
5.669 3.259 1.307 O
```

This entry pairs a crystal structure of Rb4TiO4 with its simulated powder XRD pattern. Radiation: Cu Kα (λ = 1.5418 Å). Structure: a GGA-PBE-relaxed structure.
No peak broadening, texture or thermal motion is included.

Principal peaks in the range 10 to 90 degrees two-theta, in order of rising 2θ:
2θ = 27.14°, intensity 26.4
2θ = 28.13°, intensity 60.5
2θ = 28.27°, intensity 48.6
2θ = 28.60°, intensity 57.1
2θ = 29.53°, intensity 100.0
2θ = 34.08°, intensity 14.8
2θ = 34.72°, intensity 45.3
2θ = 35.05°, intensity 61.9
2θ = 46.97°, intensity 20.4
2θ = 51.23°, intensity 26.2

Structure:
```
Rb4TiO4
1.0
11.241 0.000 0.000
0.000 6.918 0.000
-4.198 0.000 10.307
Rb Ti O
16 4 16
Cartesian
-0.094 0.566 2.106 Rb
-2.193 2.892 7.260 Rb
1.441 4.255 0.764 Rb
-0.658 6.121 5.917 Rb
0.472 4.669 9.205 Rb
2.571 5.708 4.052 Rb
1.382 1.263 8.096 Rb
3.481 2.196 2.942 Rb
3.562 4.721 7.365 Rb
5.661 5.655 2.211 Rb
4.472 1.210 6.255 Rb
6.571 2.249 1.102 Rb
7.701 0.796 4.390 Rb
5.603 2.662 9.543 Rb
9.236 4.025 3.047 Rb
7.137 6.351 8.200 Rb
-1.440 0.855 10.171 Ti
0.658 2.603 5.017 Ti
6.385 4.314 5.289 Ti
8.484 6.062 0.136 Ti
-3.130 1.573 10.080 O
-1.031 1.886 4.926 O
0.970 3.541 3.447 O
-1.128 6.836 8.601 O
0.855 3.695 6.513 O
2.954 6.681 1.360 O
1.860 1.195 5.158 O
3.958 2.264 0.005 O
3.085 4.654 10.302 O
5.184 5.723 5.149 O
4.090 0.236 8.947 O
6.188 3.223 3.794 O
8.172 0.082 1.706 O
6.073 3.377 6.859 O
8.075 5.032 5.381 O
10.173 5.345 0.227 O
```

Repeat the third record exactly.
This entry pairs a crystal structure of Rb4TiO4 with its simulated powder XRD pattern. Radiation: Cu Kα (λ = 1.5418 Å). Structure: a GGA-PBE-relaxed structure.
No peak broadening, texture or thermal motion is included.

Principal peaks in the range 10 to 90 degrees two-theta, in order of rising 2θ:
2θ = 27.93°, intensity 59.9
2θ = 28.32°, intensity 55.6
2θ = 28.86°, intensity 100.0
2θ = 31.64°, intensity 48.0
2θ = 32.47°, intensity 47.6
2θ = 34.71°, intensity 16.7
2θ = 34.85°, intensity 31.9
2θ = 46.21°, intensity 16.7
2θ = 48.08°, intensity 16.2
2θ = 54.59°, intensity 13.0

Structure:
```
Rb4TiO4
1.0
6.758 0.000 0.000
2.705 6.201 0.000
1.840 2.633 9.587
Rb Ti O
8 2 8
Cartesian
2.952 3.207 1.148 Rb
3.309 3.029 5.085 Rb
4.805 6.502 3.253 Rb
3.615 2.535 9.002 Rb
7.689 6.300 0.585 Rb
6.499 2.333 6.334 Rb
7.995 5.806 4.503 Rb
8.352 5.627 8.439 Rb
4.995 6.049 7.169 Ti
6.309 2.785 2.418 Ti
4.102 7.207 8.315 O
3.832 5.683 5.780 O
5.500 4.527 8.104 O
6.532 6.937 6.622 O
4.771 1.898 2.965 O
5.804 4.308 1.483 O
7.472 3.151 3.807 O
7.202 1.628 1.273 O
```